No. 1
The following is a theoretical powder X-ray diffraction pattern of Y5TmS6. It was derived from DFT lattice parameters and positions (PBE), using Cu Kα (λ = 1.5418 Å).
Peak positions follow from Bragg's law for the DFT cell and can differ from measured ones.

Top 8 peaks for 2θ from 10° to 90°, by angle:
2θ (°)  I/Imax
27.93  262
28.03  252
32.42  1000
46.45  350
46.52  233
55.10  143
57.73  119
77.23  151

Cell and atoms:
```
Y5TmS6
1.0
3.3821 -5.8715 0.0000
3.3821 5.8715 0.0000
-2.2706 0.0000 6.3631
Y Tm S
5 1 6
Direct
0.0000 0.0000 0.0000 Y
0.1674 0.8326 0.5000 Y
0.3308 0.6692 0.0000 Y
0.6692 0.3308 0.0000 Y
0.8326 0.1674 0.5000 Y
0.5000 0.5000 0.5000 Tm
0.0889 0.4174 0.2529 S
0.2538 0.2538 0.7484 S
0.4174 0.0889 0.2529 S
0.5826 0.9111 0.7471 S
0.7462 0.7462 0.2516 S
0.9111 0.5826 0.7471 S
```

No. 2
The following is a theoretical powder X-ray diffraction pattern of YbTm2S4. It was derived from DFT lattice parameters and positions (PBE), using Cu Kα (λ = 1.5418 Å).
Peak positions follow from Bragg's law for the DFT cell and can differ from measured ones.

Top 8 peaks for 2θ from 10° to 90°, by angle:
2θ (°)  I/Imax
24.85  1000
27.86  703
32.08  472
34.30  582
42.65  429
47.33  396
47.50  294
54.18  252

Cell and atoms:
```
YbTm2S4
1.0
12.8160 0.0000 0.0000
0.0000 3.8419 0.0000
0.0000 0.0000 12.9685
Yb Tm S
4 8 16
Direct
0.1309 0.2500 0.0833 Yb
0.3691 0.7500 0.5833 Yb
0.6309 0.2500 0.4167 Yb
0.8691 0.7500 0.9167 Yb
0.1076 0.7500 0.4180 Tm
0.1470 0.7500 0.7982 Tm
0.3530 0.2500 0.2982 Tm
0.3924 0.2500 0.9180 Tm
0.6076 0.7500 0.0820 Tm
0.6470 0.7500 0.7018 Tm
0.8530 0.2500 0.2018 Tm
0.8924 0.2500 0.5820 Tm
0.0292 0.2500 0.8833 S
0.0336 0.7500 0.6184 S
0.2166 0.7500 0.2368 S
0.2436 0.2500 0.4757 S
0.2564 0.7500 0.9757 S
0.2834 0.2500 0.7368 S
0.4664 0.2500 0.1184 S
0.4708 0.7500 0.3833 S
0.5292 0.2500 0.6167 S
0.5336 0.7500 0.8816 S
0.7166 0.7500 0.2632 S
0.7436 0.2500 0.0243 S
0.7564 0.7500 0.5243 S
0.7834 0.2500 0.7632 S
0.9664 0.2500 0.3816 S
0.9708 0.7500 0.1167 S
```

No. 3
The following is a theoretical powder X-ray diffraction pattern of Tm7ZnS5. It was derived from DFT lattice parameters and positions (PBE), using Cu Kα (λ = 1.5418 Å).
Peak positions follow from Bragg's law for the DFT cell and can differ from measured ones.

Top 8 peaks for 2θ from 10° to 90°, by angle:
2θ (°)  I/Imax
28.44  286
28.82  644
30.62  576
30.64  560
31.13  285
32.45  1000
33.63  634
47.32  745

Cell and atoms:
```
Tm7ZnS5
1.0
3.8409 0.0000 0.0000
1.9095 6.3351 0.0000
0.0003 0.0140 23.0193
Tm Zn S
14 2 10
Direct
0.0262 0.4473 0.2501 Tm
0.1362 0.2267 0.9639 Tm
0.1369 0.2253 0.5361 Tm
0.3170 0.8663 0.3240 Tm
0.3181 0.8639 0.1759 Tm
0.4083 0.6843 0.8891 Tm
0.4093 0.6823 0.6108 Tm
0.5907 0.3177 0.3892 Tm
0.5917 0.3157 0.1109 Tm
0.6819 0.1361 0.8241 Tm
0.6830 0.1337 0.6760 Tm
0.8631 0.7747 0.4639 Tm
0.8638 0.7733 0.0361 Tm
0.9738 0.5527 0.7499 Tm
0.2995 0.8999 0.7503 Zn
0.7005 0.1001 0.2497 Zn
0.0471 0.4060 0.6404 S
0.0472 0.4058 0.8596 S
0.2264 0.0482 0.0705 S
0.2268 0.0474 0.4295 S
0.5000 0.5000 0.0000 S
0.5000 0.5000 0.5000 S
0.7732 0.9526 0.5705 S
0.7736 0.9518 0.9295 S
0.9528 0.5942 0.1404 S
0.9529 0.5940 0.3596 S
```

No. 4
The following is a theoretical powder X-ray diffraction pattern of Tm3ZrS6. It was derived from DFT lattice parameters and positions (PBE), using Cu Kα (λ = 1.5418 Å).
Peak positions follow from Bragg's law for the DFT cell and can differ from measured ones.

Top 8 peaks for 2θ from 10° to 90°, by angle:
2θ (°)  I/Imax
20.18  520
25.11  1000
25.71  311
27.75  472
35.92  367
36.57  525
42.54  413
47.51  237

Cell and atoms:
```
Tm3ZrS6
1.0
5.6232 3.2465 4.4005
-5.6232 3.2465 4.4005
0.0000 -6.4931 4.4005
Tm Zr S
6 2 12
Direct
0.0751 0.5837 0.7498 Tm
0.2502 0.9249 0.4163 Tm
0.4163 0.2502 0.9249 Tm
0.5837 0.7498 0.0751 Tm
0.7498 0.0751 0.5837 Tm
0.9249 0.4163 0.2502 Tm
0.0000 0.0000 0.0000 Zr
0.5000 0.5000 0.5000 Zr
0.0428 0.9121 0.6851 S
0.0879 0.3149 0.9572 S
0.1879 0.5814 0.4164 S
0.3149 0.9572 0.0879 S
0.4164 0.1879 0.5814 S
0.4186 0.5836 0.8121 S
0.5814 0.4164 0.1879 S
0.5836 0.8121 0.4186 S
0.6851 0.0428 0.9121 S
0.8121 0.4186 0.5836 S
0.9121 0.6851 0.0428 S
0.9572 0.0879 0.3149 S
```

No. 5
The following is a theoretical powder X-ray diffraction pattern of U4S. It was derived from DFT lattice parameters and positions (PBE), using Cu Kα (λ = 1.5418 Å).
Peak positions follow from Bragg's law for the DFT cell and can differ from measured ones.

Top 8 peaks for 2θ from 10° to 90°, by angle:
2θ (°)  I/Imax
30.69  1000
35.59  593
51.21  429
60.90  457
63.92  151
75.36  73
83.53  202
86.22  216

Cell and atoms:
```
U4S
1.0
5.0451 0.0000 0.0000
0.0000 5.0451 0.0000
0.0000 0.0000 5.0451
U S
4 1
Direct
0.0000 0.0000 0.0000 U
0.0000 0.5000 0.5000 U
0.5000 0.0000 0.5000 U
0.5000 0.5000 0.0000 U
0.5000 0.5000 0.5000 S
```

No. 6
The following is a theoretical powder X-ray diffraction pattern of U6S5. It was derived from DFT lattice parameters and positions (PBE), using Cu Kα (λ = 1.5418 Å).
Peak positions follow from Bragg's law for the DFT cell and can differ from measured ones.

Top 8 peaks for 2θ from 10° to 90°, by angle:
2θ (°)  I/Imax
28.57  1000
28.93  325
33.11  383
33.26  740
47.44  402
47.86  270
56.38  206
59.13  205

Cell and atoms:
```
U6S5
1.0
3.3225 -5.7440 0.0000
3.3225 5.7440 0.0000
-2.2448 0.0000 6.1726
U S
6 5
Direct
0.0774 0.3942 0.7368 U
0.2337 0.2337 0.2509 U
0.3942 0.0774 0.7368 U
0.6058 0.9226 0.2632 U
0.7663 0.7663 0.7491 U
0.9226 0.6058 0.2632 U
0.1780 0.8220 0.0000 S
0.3360 0.6640 0.5000 S
0.5000 0.5000 0.0000 S
0.6640 0.3360 0.5000 S
0.8220 0.1780 0.0000 S
```

What is the formula in the second record?
YbTm2S4